Simulated powder diffractogram
Compound: LiTaGeO5
Radiation: Cu Kα, 1.54184 Å
Structure: a structure optimized by DFT (GGA-PBE)
Peak positions follow from Bragg's law for the DFT cell and can differ from measured ones.

Peak list (10 most intense, 2θ = 10–90°, low angle first)
(1 1 0), 2θ 17.1, I 77; (0 2 0), 2θ 21.7, I 36; (0 2 1), 2θ 25.6, I 18; (1 1 -2), 2θ 25.8, I 100; (2 0 0), 2θ 26.7, I 60; (0 2 2), 2θ 34.9, I 33; (1 3 0), 2θ 35.5, I 39; (1 1 2), 2θ 37.5, I 43; (0 4 2), 2θ 52.6, I 47; (3 3 0), 2θ 53.1, I 25

Structural model:
```
LiTaGeO5
1.0
7.680 0.000 0.000
0.000 8.189 0.000
-3.764 0.000 6.617
Li Ta Ge O
4 4 4 20
direct
0.250 0.060 0.206 Li
0.250 0.440 0.706 Li
0.750 0.560 0.294 Li
0.750 0.940 0.794 Li
0.251 0.742 0.993 Ta
0.251 0.758 0.493 Ta
0.749 0.242 0.507 Ta
0.749 0.258 0.007 Ta
0.250 0.111 0.758 Ge
0.250 0.389 0.258 Ge
0.750 0.611 0.742 Ge
0.750 0.889 0.242 Ge
0.051 0.248 0.150 O
0.051 0.252 0.650 O
0.249 0.682 0.749 O
0.249 0.818 0.249 O
0.251 0.513 0.449 O
0.251 0.987 0.949 O
0.252 0.515 0.071 O
0.252 0.985 0.571 O
0.448 0.247 0.349 O
0.448 0.253 0.849 O
0.552 0.747 0.151 O
0.552 0.753 0.651 O
0.748 0.015 0.429 O
0.748 0.485 0.929 O
0.749 0.013 0.051 O
0.749 0.487 0.551 O
0.751 0.182 0.751 O
0.751 0.318 0.251 O
0.949 0.748 0.350 O
0.949 0.752 0.850 O
```